Mg8PdPt2: calculated powder XRD pattern (Cu Kα (weighted mean of Kα1 and Kα2)), based on a DFT-relaxed cell (PBE, Alexandria).
No peak broadening, texture or thermal motion is included.

Peak list (8 most intense, 5° ≤ 2θ ≤ 70°, in order of rising 2θ)
d (Å), Rel. int.
3.914, 60
3.750, 57
3.701, 100
3.278, 31
3.250, 72
2.345, 66
2.273, 51
2.242, 35

Atomic structure:
```
Mg8PdPt2
1.0
7.672 -2.242 0.000
7.672 2.242 0.000
-2.533 0.000 6.054
Mg Pd Pt
8 1 2
direct
0.024 0.024 0.272 Mg
0.191 0.191 0.775 Mg
0.333 0.333 0.566 Mg
0.396 0.396 0.056 Mg
0.604 0.604 0.944 Mg
0.667 0.667 0.434 Mg
0.809 0.809 0.225 Mg
0.976 0.976 0.728 Mg
0.500 0.500 0.500 Pd
0.181 0.181 0.179 Pt
0.819 0.819 0.821 Pt
```